Structure and calculated PXRD pattern of La2DyPu (a GGA-PBE-relaxed structure; Cu Kα).

Crystal structure
Unit cell a=5.1204 b=5.1204 c=4.9697 alpha=90.00 beta=90.00 gamma=90.00
Fractional coordinates of all 4 atoms:
La 0.0000 0.5000 0.0000
La 0.5000 0.0000 0.0000
Dy 0.0000 0.0000 0.5000
Pu 0.5000 0.5000 0.5000

Largest 6 diffraction maxima, by intensity, 10° ≤ 2θ ≤ 90°:
| hkl | 2θ (°) | Rel. int. |
| --- | --- | --- |
| 1 1 1 | 30.55 | 100 |
| 2 0 0 | 35.05 | 35 |
| 3 1 1 | 60.10 | 30 |
| 2 0 2 | 51.23 | 24 |
| 0 0 2 | 36.15 | 16 |
| 1 1 3 | 61.56 | 14 |